1.
The following is a simulated X-ray powder pattern of Y2GaCu. It was derived from a DFT-relaxed cell (PBE, Alexandria), using Cu Kα, 1.54184 Å.
Kinematic intensities with the Lorentz-polarization factor, no thermal factor.

Cell and atoms:
```
Y2GaCu
1.0
5.8935 0.0000 0.0000
0.0000 4.2912 0.0000
-2.6123 0.0000 7.2888
Y Ga Cu
4 2 2
direct
0.2115 0.2500 0.4371
0.2169 0.2500 0.9171
0.7831 0.7500 0.0829
0.7885 0.7500 0.5629
0.3396 0.7500 0.2116
0.6604 0.2500 0.7884
0.3699 0.7500 0.7141
0.6301 0.2500 0.2859
```

Most intense lines, 5 to 70 degrees two-theta, most intense first:
two_theta  I (rel.)
32.24  1000
32.11  644
38.65  443
39.57  429
39.85  406
42.11  394
46.94  279
54.01  273
33.35  259
33.67  257


2.
The following is a simulated X-ray powder pattern of BaTe2Au2S6. It was derived from a DFT-relaxed cell (PBE, Alexandria), using Cu Kα, 1.54184 Å.
Kinematic intensities with the Lorentz-polarization factor, no thermal factor.

Cell and atoms:
```
BaTe2Au2S6
1.0
7.6125 0.0000 0.0000
-3.6393 6.7376 0.0000
-0.6584 -3.3951 7.4403
Ba Te Au S
1 2 2 6
direct
0.0000 0.0000 0.0000
0.3533 0.6653 0.0399
0.6467 0.3347 0.9601
0.2472 0.8768 0.4998
0.7528 0.1232 0.5002
0.1169 0.7543 0.1959
0.3350 0.9623 0.8020
0.4059 0.4836 0.2019
0.5941 0.5164 0.7981
0.6650 0.0377 0.1980
0.8831 0.2457 0.8041
```

Most intense lines, 5 to 70 degrees two-theta, most intense first:
two_theta  I (rel.)
14.43  1000
23.56  848
24.85  727
25.52  723
23.93  512
16.71  491
13.67  363
30.88  342
36.56  317
40.64  271


3.
The following is a simulated X-ray powder pattern of Pm2NiSn2Rh. It was derived from a DFT-relaxed cell (PBE, Alexandria), using Cu Kα, 1.54184 Å.
Kinematic intensities with the Lorentz-polarization factor, no thermal factor.

Cell and atoms:
```
Pm2NiSn2Rh
1.0
-3.2099 6.9303 3.1701
3.2099 -6.9303 3.1701
3.2099 6.9303 -3.1701
Pm Ni Sn Rh
4 2 4 2
direct
0.1495 0.2407 0.3902
0.3505 0.7407 0.0912
0.6495 0.2593 0.9088
0.8505 0.7593 0.6098
0.2500 0.7500 0.5000
0.7500 0.2500 0.5000
0.1062 0.7330 0.8392
0.3938 0.2330 0.6268
0.6062 0.7670 0.3732
0.8938 0.2670 0.1608
0.2500 0.2500 0.0000
0.7500 0.7500 0.0000
```

Most intense lines, 5 to 70 degrees two-theta, most intense first:
two_theta  I (rel.)
39.97  1000
38.49  891
38.22  890
32.58  554
28.15  343
27.79  340
12.77  332
56.93  328
25.71  260
48.13  196


4.
The following is a simulated X-ray powder pattern of Ca2ZrAg. It was derived from a DFT-relaxed cell (PBE, Alexandria), using Cu Kα, 1.54184 Å.
Kinematic intensities with the Lorentz-polarization factor, no thermal factor.

Cell and atoms:
```
Ca2ZrAg
1.0
3.5174 0.0000 0.0000
-1.7587 3.0462 0.0000
0.0000 0.0000 31.1043
Ca Zr Ag
6 3 3
direct
0.0000 0.0000 0.2438
0.0000 0.0000 0.7562
0.3333 0.6667 0.4229
0.3333 0.6667 0.9104
0.6667 0.3333 0.0896
0.6667 0.3333 0.5771
0.0000 0.0000 0.0000
0.3333 0.6667 0.6667
0.6667 0.3333 0.3333
0.0000 0.0000 0.5000
0.3333 0.6667 0.1667
0.6667 0.3333 0.8333
```

Most intense lines, 5 to 70 degrees two-theta, most intense first:
two_theta  I (rel.)
31.54  1000
37.51  602
17.10  259
34.61  244
52.00  229
63.97  222
29.89  200
56.12  161
62.10  129
65.86  105


5.
The following is a simulated X-ray powder pattern of KPd2Pb5. It was derived from a DFT-relaxed cell (PBE, Alexandria), using Cu Kα, 1.54184 Å.
Kinematic intensities with the Lorentz-polarization factor, no thermal factor.

Cell and atoms:
```
KPd2Pb5
1.0
4.6662 0.0000 0.0000
0.0000 8.0740 0.0000
0.0000 0.0000 12.4461
K Pd Pb
2 4 10
direct
0.0000 0.0000 0.0000
0.5000 0.5000 0.5000
0.0000 0.5000 0.2242
0.0000 0.5000 0.7758
0.5000 0.0000 0.2758
0.5000 0.0000 0.7242
0.0000 0.2069 0.3471
0.0000 0.2069 0.6529
0.0000 0.5000 0.0000
0.0000 0.7931 0.3471
0.0000 0.7931 0.6529
0.5000 0.0000 0.5000
0.5000 0.2931 0.1529
0.5000 0.2931 0.8471
0.5000 0.7069 0.1529
0.5000 0.7069 0.8471
```

Most intense lines, 5 to 70 degrees two-theta, most intense first:
two_theta  I (rel.)
36.48  1000
28.80  808
30.14  771
38.61  763
13.07  585
54.15  386
68.47  242
59.65  166
39.93  161
14.23  142


6.
The following is a simulated X-ray powder pattern of Pr7O12. It was derived from a DFT-relaxed cell (PBE, Alexandria), using Cu Kα, 1.54184 Å.
Kinematic intensities with the Lorentz-polarization factor, no thermal factor.

Cell and atoms:
```
Pr7O12
1.0
5.3170 3.0697 3.2883
-5.3170 3.0697 3.2883
0.0000 -6.1395 3.2883
Pr O
7 12
direct
0.0000 0.0000 0.0000
0.1386 0.3004 0.6082
0.3004 0.6082 0.1386
0.3918 0.8614 0.6996
0.6082 0.1386 0.3004
0.6996 0.3918 0.8614
0.8614 0.6996 0.3918
0.0603 0.3253 0.9334
0.0666 0.9397 0.6746
0.1786 0.5814 0.4385
0.3253 0.9334 0.0603
0.4186 0.5615 0.8214
0.4385 0.1786 0.5814
0.5615 0.8214 0.4186
0.5814 0.4385 0.1786
0.6746 0.0666 0.9397
0.8214 0.4186 0.5615
0.9334 0.0603 0.3254
0.9397 0.6746 0.0666
```

Most intense lines, 5 to 70 degrees two-theta, most intense first:
two_theta  I (rel.)
27.15  1000
45.08  468
53.43  398
31.46  316
56.03  74
65.66  59
40.20  34
36.33  31
51.52  30
16.67  29